Diffraction record for Ba3TaFe3Si2O14. The XRD peak list is theoretical, not measured: it uses the GGA+U geometry in Alexandria and Cu Kα X-rays.
Lines closer than 0.1° are merged.

Structural model:
```
data_Ba3TaFe3Si2O14
_cell_length_a 8.6796
_cell_length_b 8.6796
_cell_length_c 5.3105
_cell_angle_alpha 90.00
_cell_angle_beta 90.00
_cell_angle_gamma 120.00
_symmetry_space_group_name_H-M 'P 3 2 1'
_symmetry_Int_Tables_number 150
loop_
_symmetry_equiv_pos_as_xyz
'x,y,z'
'-y,x-y,z'
'-x+y,-x,z'
'y,x,-z'
'x-y,-y,-z'
'-x,-x+y,-z'
loop_
_atom_site_label
_atom_site_fract_x
_atom_site_fract_y
_atom_site_fract_z
Ba1 0.0000 0.4306 0.0000
Ta1 0.0000 0.0000 0.0000
Fe1 0.0000 0.7468 0.5000
Si1 0.3333 0.6667 0.5219
O1 0.1024 0.2153 0.2229
O2 0.1764 0.7004 0.6468
O3 0.3333 0.6667 0.2184
```

Peak list (10 most intense, 2θ = 10–80°, in order of falling intensity)
2θ (°)	intensity	h k l
29.11	100	0 2 1
26.52	49	1 1 1
56.08	38	2 3 1
46.82	29	1 2 2
23.67	29	2 0 0
41.64	27	0 2 2
35.85	25	3 0 0
31.49	17	2 1 0
16.69	16	0 0 1
11.77	16	1 0 0